# LaNdSi4
Computed X-ray powder pattern, copper Kα. Input: the GGA-PBE geometry in OQMD.
Intensities are scaled so that the largest is 100.

Main lines, low angle first (10 to 90 degrees two-theta):
| 2theta | intensity |
| --- | --- |
| 21.7 | 37 |
| 28.4 | 50 |
| 32.3 | 100 |
| 38.7 | 39 |
| 42.2 | 33 |
| 58.6 | 23 |

Structural model:
```
data_LaNdSi4
_chemical_formula_sum 'La1 Nd1 Si4'
_cell_length_a 7.556
_cell_length_b 7.556
_cell_length_c 7.556
_cell_angle_alpha 147.06
_cell_angle_beta 147.06
_cell_angle_gamma 47.27
_space_group_name_H-M_alt 'P 1'
_space_group_IT_number 1
loop_
_space_group_symop_operation_xyz
'x,y,z'
loop_
_atom_site_label
_atom_site_fract_x
_atom_site_fract_y
_atom_site_fract_z
_atom_site_occupancy
La1 0.000 0.000 0.000 1
Nd1 0.250 0.750 0.500 1
Si1 0.414 0.414 0.000 1
Si2 0.586 0.586 0.000 1
Si3 0.665 0.165 0.500 1
Si4 0.835 0.335 0.500 1
```

---

# Nd2NiSn2Pt3
Computed X-ray powder pattern, copper Kα. Input: the GGA-PBE geometry in OQMD.
Intensities are scaled so that the largest is 100.

Main lines, low angle first (10 to 90 degrees two-theta):
| 2theta | intensity |
| --- | --- |
| 22.4 | 17 |
| 29.6 | 22 |
| 36.8 | 100 |
| 39.2 | 90 |
| 54.9 | 32 |
| 69.6 | 31 |

Structural model:
```
data_Nd2NiSn2Pt3
_chemical_formula_sum 'Nd2 Ni1 Sn2 Pt3'
_cell_length_a 4.591
_cell_length_b 4.591
_cell_length_c 9.266
_cell_angle_alpha 90.00
_cell_angle_beta 90.00
_cell_angle_gamma 120.00
_space_group_name_H-M_alt 'P 1'
_space_group_IT_number 1
loop_
_space_group_symop_operation_xyz
'x,y,z'
loop_
_atom_site_label
_atom_site_fract_x
_atom_site_fract_y
_atom_site_fract_z
_atom_site_occupancy
Nd1 0.000 0.000 0.000 1
Nd2 0.333 0.667 0.494 1
Ni1 0.000 0.000 0.326 1
Sn1 0.667 0.333 0.253 1
Sn2 0.667 0.333 0.746 1
Pt1 0.000 0.000 0.652 1
Pt2 0.333 0.667 0.168 1
Pt3 0.333 0.667 0.834 1
```

---

# CuAg
Computed X-ray powder pattern, copper Kα. Input: the GGA-PBE geometry in OQMD.
Intensities are scaled so that the largest is 100.

Main lines, low angle first (10 to 90 degrees two-theta):
| 2theta | intensity |
| --- | --- |
| 40.0 | 100 |
| 40.1 | 32 |
| 45.5 | 46 |
| 48.6 | 16 |
| 68.7 | 21 |
| 80.3 | 16 |

Structural model:
```
data_CuAg
_chemical_formula_sum 'Cu5 Ag5'
_cell_length_a 7.421
_cell_length_b 7.421
_cell_length_c 7.497
_cell_angle_alpha 104.72
_cell_angle_beta 104.72
_cell_angle_gamma 21.92
_space_group_name_H-M_alt 'P 1'
_space_group_IT_number 1
loop_
_space_group_symop_operation_xyz
'x,y,z'
loop_
_atom_site_label
_atom_site_fract_x
_atom_site_fract_y
_atom_site_fract_z
_atom_site_occupancy
Cu1 0.000 0.000 0.000 1
Cu2 0.007 0.007 0.484 1
Cu3 0.215 0.215 0.115 1
Cu4 0.412 0.412 0.214 1
Cu5 0.813 0.813 0.377 1
Ag1 0.210 0.210 0.588 1
Ag2 0.410 0.410 0.683 1
Ag3 0.604 0.604 0.279 1
Ag4 0.607 0.607 0.814 1
Ag5 0.812 0.812 0.920 1
```

---

# TbSb
Computed X-ray powder pattern, copper Kα. Input: the GGA-PBE geometry in OQMD.
Intensities are scaled so that the largest is 100.

Main lines, low angle first (10 to 90 degrees two-theta):
| 2theta | intensity |
| --- | --- |
| 28.7 | 100 |
| 41.0 | 76 |
| 50.8 | 27 |
| 59.4 | 13 |
| 67.3 | 35 |
| 74.7 | 26 |

Structural model:
```
data_TbSb
_chemical_formula_sum 'Tb1 Sb1'
_cell_length_a 4.400
_cell_length_b 4.400
_cell_length_c 4.400
_cell_angle_alpha 60.00
_cell_angle_beta 60.00
_cell_angle_gamma 60.00
_space_group_name_H-M_alt 'P 1'
_space_group_IT_number 1
loop_
_space_group_symop_operation_xyz
'x,y,z'
loop_
_atom_site_label
_atom_site_fract_x
_atom_site_fract_y
_atom_site_fract_z
_atom_site_occupancy
Tb1 0.000 0.000 0.000 1
Sb1 0.500 0.500 0.500 1
```

---

# NaGdSiO4
Computed X-ray powder pattern, copper Kα. Input: the GGA-PBE geometry in OQMD.
Intensities are scaled so that the largest is 100.

Main lines, low angle first (10 to 90 degrees two-theta):
| 2theta | intensity |
| --- | --- |
| 15.3 | 72 |
| 18.3 | 100 |
| 24.2 | 81 |
| 28.5 | 78 |
| 32.5 | 96 |
| 50.8 | 58 |

Structural model:
```
data_NaGdSiO4
_chemical_formula_sum 'Na4 Gd4 Si4 O16'
_cell_length_a 8.629
_cell_length_b 8.629
_cell_length_c 8.629
_cell_angle_alpha 95.47
_cell_angle_beta 95.47
_cell_angle_gamma 144.03
_space_group_name_H-M_alt 'P 1'
_space_group_IT_number 1
loop_
_space_group_symop_operation_xyz
'x,y,z'
loop_
_atom_site_label
_atom_site_fract_x
_atom_site_fract_y
_atom_site_fract_z
_atom_site_occupancy
Na1 0.086 0.606 0.692 1
Na2 0.394 0.086 0.480 1
Na3 0.606 0.914 0.520 1
Na4 0.914 0.394 0.308 1
Gd1 0.122 0.191 0.313 1
Gd2 0.191 0.878 0.069 1
Gd3 0.809 0.122 0.931 1
Gd4 0.878 0.809 0.687 1
Si1 0.264 0.402 0.666 1
Si2 0.402 0.736 0.139 1
Si3 0.598 0.264 0.861 1
Si4 0.736 0.598 0.334 1
O1 0.051 0.203 0.770 1
O2 0.120 0.397 0.518 1
O3 0.203 0.433 0.152 1
O4 0.267 0.692 0.959 1
O5 0.281 0.051 0.848 1
O6 0.308 0.267 0.574 1
O7 0.397 0.880 0.277 1
O8 0.433 0.281 0.230 1
O9 0.567 0.719 0.770 1
O10 0.603 0.120 0.723 1
O11 0.692 0.733 0.426 1
O12 0.719 0.949 0.152 1
O13 0.733 0.308 0.041 1
O14 0.797 0.567 0.848 1
O15 0.880 0.603 0.482 1
O16 0.949 0.797 0.230 1
```

---

# PrNi12B6
Computed X-ray powder pattern, copper Kα. Input: the GGA-PBE geometry in OQMD.
Intensities are scaled so that the largest is 100.

Main lines, low angle first (10 to 90 degrees two-theta):
| 2theta | intensity |
| --- | --- |
| 31.5 | 56 |
| 34.6 | 51 |
| 39.2 | 64 |
| 41.0 | 74 |
| 41.1 | 100 |
| 43.7 | 41 |

Structural model:
```
data_PrNi12B6
_chemical_formula_sum 'Pr2 Ni24 B12'
_cell_length_a 6.063
_cell_length_b 6.063
_cell_length_c 11.083
_cell_angle_alpha 90.00
_cell_angle_beta 90.00
_cell_angle_gamma 75.31
_space_group_name_H-M_alt 'P 1'
_space_group_IT_number 1
loop_
_space_group_symop_operation_xyz
'x,y,z'
loop_
_atom_site_label
_atom_site_fract_x
_atom_site_fract_y
_atom_site_fract_z
_atom_site_occupancy
Pr1 0.168 0.832 0.500 1
Pr2 0.832 0.168 0.000 1
Ni1 0.005 0.629 0.062 1
Ni2 0.119 0.146 0.243 1
Ni3 0.146 0.119 0.743 1
Ni4 0.195 0.540 0.264 1
Ni5 0.210 0.525 0.725 1
Ni6 0.222 0.778 0.900 1
Ni7 0.275 0.343 0.932 1
Ni8 0.343 0.275 0.432 1
Ni9 0.371 0.995 0.062 1
Ni10 0.431 0.569 0.083 1
Ni11 0.460 0.805 0.264 1
Ni12 0.475 0.790 0.725 1
Ni13 0.525 0.210 0.225 1
Ni14 0.540 0.195 0.764 1
Ni15 0.569 0.431 0.583 1
Ni16 0.629 0.005 0.562 1
Ni17 0.657 0.725 0.932 1
Ni18 0.725 0.657 0.432 1
Ni19 0.778 0.222 0.400 1
Ni20 0.790 0.475 0.225 1
Ni21 0.805 0.460 0.764 1
Ni22 0.854 0.881 0.243 1
Ni23 0.881 0.854 0.743 1
Ni24 0.995 0.371 0.562 1
B1 0.013 0.399 0.377 1
B2 0.164 0.836 0.164 1
B3 0.248 0.324 0.114 1
B4 0.324 0.248 0.614 1
B5 0.399 0.013 0.877 1
B6 0.487 0.513 0.840 1
B7 0.513 0.487 0.340 1
B8 0.601 0.987 0.377 1
B9 0.676 0.752 0.114 1
B10 0.752 0.676 0.614 1
B11 0.836 0.164 0.664 1
B12 0.987 0.601 0.877 1
```

---

# ZrH5S3O14
Computed X-ray powder pattern, copper Kα. Input: the GGA-PBE geometry in OQMD.
Intensities are scaled so that the largest is 100.

Main lines, low angle first (10 to 90 degrees two-theta):
| 2theta | intensity |
| --- | --- |
| 10.8 | 71 |
| 13.0 | 43 |
| 25.4 | 100 |
| 26.0 | 83 |
| 26.5 | 58 |
| 36.5 | 27 |

Structural model:
```
data_ZrH5S3O14
_chemical_formula_sum 'Zr2 H10 S6 O28'
_cell_length_a 4.942
_cell_length_b 8.197
_cell_length_c 12.069
_cell_angle_alpha 90.62
_cell_angle_beta 91.23
_cell_angle_gamma 94.01
_space_group_name_H-M_alt 'P 1'
_space_group_IT_number 1
loop_
_space_group_symop_operation_xyz
'x,y,z'
loop_
_atom_site_label
_atom_site_fract_x
_atom_site_fract_y
_atom_site_fract_z
_atom_site_occupancy
Zr1 0.218 0.110 0.184 1
Zr2 0.782 0.890 0.816 1
H1 0.117 0.407 0.800 1
H2 0.234 0.846 0.515 1
H3 0.270 0.464 0.915 1
H4 0.339 0.729 0.415 1
H5 0.363 0.666 0.542 1
H6 0.637 0.334 0.458 1
H7 0.661 0.271 0.585 1
H8 0.730 0.536 0.085 1
H9 0.766 0.154 0.485 1
H10 0.883 0.593 0.200 1
S1 0.243 0.405 0.308 1
S2 0.288 0.076 0.667 1
S3 0.300 0.784 0.004 1
S4 0.700 0.216 0.996 1
S5 0.712 0.924 0.333 1
S6 0.757 0.595 0.692 1
O1 0.022 0.073 0.723 1
O2 0.068 0.539 0.298 1
O3 0.077 0.243 0.326 1
O4 0.118 0.837 0.912 1
O5 0.224 0.367 0.866 1
O6 0.243 0.728 0.488 1
O7 0.243 0.873 0.106 1
O8 0.250 0.033 0.549 1
O9 0.259 0.609 0.020 1
O10 0.374 0.364 0.199 1
O11 0.419 0.166 0.030 1
O12 0.432 0.237 0.682 1
O13 0.445 0.945 0.722 1
O14 0.448 0.436 0.396 1
O15 0.552 0.564 0.604 1
O16 0.555 0.055 0.278 1
O17 0.568 0.763 0.318 1
O18 0.581 0.834 0.970 1
O19 0.626 0.636 0.801 1
O20 0.741 0.391 0.980 1
O21 0.750 0.967 0.451 1
O22 0.757 0.127 0.894 1
O23 0.757 0.272 0.512 1
O24 0.776 0.633 0.134 1
O25 0.882 0.163 0.088 1
O26 0.923 0.757 0.674 1
O27 0.932 0.461 0.702 1
O28 0.978 0.927 0.277 1
```

---

# Na2Sc2AlInAg2
Computed X-ray powder pattern, copper Kα. Input: the GGA-PBE geometry in OQMD.
Intensities are scaled so that the largest is 100.

Main lines, low angle first (10 to 90 degrees two-theta):
| 2theta | intensity |
| --- | --- |
| 22.7 | 32 |
| 37.4 | 100 |
| 44.2 | 11 |
| 54.0 | 11 |
| 67.4 | 10 |
| 67.6 | 21 |

Structural model:
```
data_Na2Sc2AlInAg2
_chemical_formula_sum 'Na2 Sc2 Al1 In1 Ag2'
_cell_length_a 4.801
_cell_length_b 4.801
_cell_length_c 6.810
_cell_angle_alpha 90.00
_cell_angle_beta 90.00
_cell_angle_gamma 90.00
_space_group_name_H-M_alt 'P 1'
_space_group_IT_number 1
loop_
_space_group_symop_operation_xyz
'x,y,z'
loop_
_atom_site_label
_atom_site_fract_x
_atom_site_fract_y
_atom_site_fract_z
_atom_site_occupancy
Na1 0.000 0.500 0.243 1
Na2 0.500 0.000 0.757 1
Sc1 0.000 0.000 0.000 1
Sc2 0.500 0.500 0.500 1
Al1 0.500 0.500 0.000 1
In1 0.000 0.000 0.500 1
Ag1 0.000 0.500 0.764 1
Ag2 0.500 0.000 0.236 1
```